# 1
Starting from a cell relaxed with GGA-PBE, the powder XRD pattern of SrRePO was simulated for Cu Kα X-rays.

Cell and atoms:
```
data_SrRePO
_chemical_formula_sum 'Sr2 Re2 P2 O2'
_symmetry_space_group_name_H-M 'P m c 21'
_symmetry_Int_Tables_number 26
_symmetry_space_group_name_Hall 'P 2c -2'
_cell_length_a 4.0394
_cell_length_b 6.7545
_cell_length_c 6.0351
_cell_angle_alpha 90.00
_cell_angle_beta 90.00
_cell_angle_gamma 90.00
loop_
_atom_site_label
_atom_site_fract_x
_atom_site_fract_y
_atom_site_fract_z
Sr1 0.0000 0.1751 0.0000
Re1 0.5000 0.4132 0.6114
P1 0.0000 0.2796 0.4913
O1 0.5000 0.3405 0.9292
```

The 10 most intense peaks (10 to 90 degrees two-theta), sorted by position:
hkl, 2theta, I/Imax
0 1 0, 13.11, 100
1 1 0, 25.70, 98
0 0 2, 29.60, 45
1 1 1, 29.72, 55
0 2 1, 30.33, 79
0 1 2, 32.50, 29
1 0 2, 37.19, 33
1 1 2, 39.60, 41
1 3 1, 48.70, 31
2 2 1, 55.13, 30

***

# 2
Starting from a cell relaxed with GGA-PBE, the powder XRD pattern of Sm4PO3 was simulated for Cu Kα X-rays.

Cell and atoms:
```
data_Sm4PO3
_chemical_formula_sum 'Sm8 P2 O6'
_symmetry_space_group_name_H-M 'I 4/m m m'
_symmetry_Int_Tables_number 139
_symmetry_space_group_name_Hall '-I 4 2'
_cell_length_a 5.2356
_cell_length_b 5.2356
_cell_length_c 10.2378
_cell_angle_alpha 90.00
_cell_angle_beta 90.00
_cell_angle_gamma 90.00
loop_
_atom_site_label
_atom_site_fract_x
_atom_site_fract_y
_atom_site_fract_z
Sm1 0.0000 0.0000 0.2380
Sm2 0.0000 0.5000 0.0000
P1 0.0000 0.0000 0.5000
O1 0.0000 0.0000 0.0000
O2 0.0000 0.5000 0.2500
```

The 10 most intense peaks (10 to 90 degrees two-theta), sorted by position:
hkl, 2theta, I/Imax
1 1 2, 29.78, 100
2 0 0, 34.25, 61
0 0 4, 35.06, 28
2 2 0, 49.22, 21
2 0 4, 49.83, 40
3 1 2, 58.60, 31
1 1 6, 59.67, 13
2 2 4, 61.86, 20
3 1 6, 80.90, 11
4 2 0, 82.37, 9

***

# 3
Starting from a cell relaxed with GGA-PBE, the powder XRD pattern of Sm2P2O7 was simulated for Cu Kα X-rays.

Cell and atoms:
Unit cell a=10.0004 b=10.0004 c=10.0004 alpha=90.00 beta=90.00 gamma=90.00
Space group Fd-3m (No. 227, origin choice 2)
Inequivalent atoms, fractional coordinates:
Sm1 0.0000 0.0000 0.0000
P1 0.0000 0.0000 0.5000
O1 0.0702 0.3750 0.8750
O2 0.1250 0.1250 0.1250

The 10 most intense peaks (10 to 90 degrees two-theta), sorted by position:
hkl, 2theta, I/Imax
1 1 1, 15.35, 43
3 1 1, 29.63, 26
2 2 2, 30.98, 100
4 0 0, 35.92, 28
3 3 1, 39.27, 32
5 1 1, 47.23, 16
4 4 0, 51.71, 46
6 2 2, 61.51, 41
6 6 2, 84.45, 17
8 4 0, 87.18, 15

***

# 4
Starting from a cell relaxed with GGA-PBE, the powder XRD pattern of TaSnPO5 was simulated for Cu Kα X-rays.

Cell and atoms:
```
data_TaSnPO5
_chemical_formula_sum 'Ta2 Sn2 P2 O10'
_symmetry_space_group_name_H-M 'P -1'
_symmetry_Int_Tables_number 2
_symmetry_space_group_name_Hall '-P 1'
_cell_length_a 5.7698
_cell_length_b 6.5545
_cell_length_c 6.6449
_cell_angle_alpha 113.54
_cell_angle_beta 109.22
_cell_angle_gamma 95.63
loop_
_atom_site_label
_atom_site_fract_x
_atom_site_fract_y
_atom_site_fract_z
Ta1 0.1322 0.1191 0.2202
Sn1 0.4152 0.7071 0.9413
P1 0.1882 0.6869 0.3943
O1 0.0354 0.2724 0.5300
O2 0.1177 0.4295 0.2020
O3 0.2353 0.8447 0.2832
O4 0.2588 0.0019 0.9428
O5 0.4399 0.7320 0.6078
```

The 10 most intense peaks (10 to 90 degrees two-theta), sorted by position:
hkl, 2theta, I/Imax
0 1 0, 15.29, 37
0 0 1, 15.90, 44
0 1 -1, 16.23, 100
1 1 -1, 21.70, 54
1 0 1, 27.64, 57
1 0 -2, 29.61, 41
1 -2 0, 31.05, 53
2 0 -1, 31.24, 64
1 -2 1, 31.43, 51
0 1 2, 41.93, 39

***

# 5
Starting from a cell relaxed with GGA-PBE, the powder XRD pattern of SrTbPO was simulated for Cu Kα X-rays.

Cell and atoms:
```
data_SrTbPO
_chemical_formula_sum 'Sr2 Tb2 P2 O2'
_symmetry_space_group_name_H-M 'P m c 21'
_symmetry_Int_Tables_number 26
_symmetry_space_group_name_Hall 'P 2c -2'
_cell_length_a 4.0600
_cell_length_b 6.6475
_cell_length_c 7.0231
_cell_angle_alpha 90.00
_cell_angle_beta 90.00
_cell_angle_gamma 90.00
loop_
_atom_site_label
_atom_site_fract_x
_atom_site_fract_y
_atom_site_fract_z
Sr1 0.0000 0.0490 0.0000
Tb1 0.5000 0.3794 0.3534
P1 0.5000 0.2316 0.7264
O1 0.0000 0.2649 0.2819
```

The 10 most intense peaks (10 to 90 degrees two-theta), sorted by position:
hkl, 2theta, I/Imax
0 1 1, 18.38, 43
0 0 2, 25.36, 31
1 1 0, 25.71, 100
0 1 2, 28.74, 92
0 2 1, 29.74, 73
1 0 2, 33.75, 52
1 1 2, 36.43, 34
1 2 1, 37.24, 50
1 3 1, 48.58, 49
1 2 3, 52.89, 30

***

# 6
Starting from a cell relaxed with GGA-PBE, the powder XRD pattern of SrTcP2O8 was simulated for Cu Kα X-rays.

Cell and atoms:
```
data_SrTcP2O8
_chemical_formula_sum 'Sr2 Tc2 P4 O16'
_symmetry_space_group_name_H-M 'C 1 2/m 1'
_symmetry_Int_Tables_number 12
_symmetry_space_group_name_Hall '-C 2y'
_cell_length_a 8.1106
_cell_length_b 5.2494
_cell_length_c 7.3775
_cell_angle_alpha 90.00
_cell_angle_beta 92.64
_cell_angle_gamma 90.00
loop_
_atom_site_label
_atom_site_fract_x
_atom_site_fract_y
_atom_site_fract_z
Sr1 0.0000 0.0000 0.0000
Tc1 0.0000 0.0000 0.5000
P1 0.1343 0.5000 0.2787
O1 0.0227 0.2581 0.2985
O2 0.1991 0.5000 0.0896
O3 0.2397 0.0000 0.5588
```

The 10 most intense peaks (10 to 90 degrees two-theta), sorted by position:
hkl, 2theta, I/Imax
1 1 0, 20.16, 93
2 0 0, 21.94, 75
1 1 -1, 23.26, 34
1 1 -2, 31.25, 100
1 1 2, 32.06, 85
0 2 0, 34.16, 44
3 1 0, 37.45, 71
0 2 2, 42.28, 37
4 2 -2, 62.29, 28
4 2 2, 64.19, 26

***

# 7
Starting from a cell relaxed with GGA-PBE, the powder XRD pattern of Sr2Zn3Te2P2O14 was simulated for Cu Kα X-rays.

Cell and atoms:
```
data_Sr2Zn3Te2P2O14
_chemical_formula_sum 'Sr4 Zn6 Te4 P4 O28'
_symmetry_space_group_name_H-M 'P 1 21/c 1'
_symmetry_Int_Tables_number 14
_symmetry_space_group_name_Hall '-P 2ybc'
_cell_length_a 5.2349
_cell_length_b 7.7909
_cell_length_c 15.2455
_cell_angle_alpha 90.00
_cell_angle_beta 90.68
_cell_angle_gamma 90.00
loop_
_atom_site_label
_atom_site_fract_x
_atom_site_fract_y
_atom_site_fract_z
Sr1 0.0012 0.0533 0.2984
Zn1 0.4893 0.6098 0.6151
Zn2 0.5000 0.0000 0.5000
Te1 0.0077 0.7268 0.4884
P1 0.4489 0.7361 0.8071
O1 0.2065 0.6070 0.0549
O2 0.2091 0.5420 0.5376
O3 0.2526 0.2340 0.4269
O4 0.2624 0.2404 0.7085
O5 0.2952 0.6801 0.7225
O6 0.3322 0.5857 0.3299
O7 0.3756 0.6065 0.8791
```

The 10 most intense peaks (10 to 90 degrees two-theta), sorted by position:
hkl, 2theta, I/Imax
0 0 2, 11.61, 34
0 0 4, 23.34, 24
1 1 -3, 26.87, 52
1 1 3, 27.13, 44
1 0 -4, 28.83, 45
1 0 4, 29.16, 72
1 2 -2, 30.85, 72
1 2 2, 31.01, 100
2 0 0, 34.26, 37
1 2 8, 56.78, 21

***

# 8
Starting from a cell relaxed with GGA-PBE, the powder XRD pattern of TaZnPO was simulated for Cu Kα X-rays.

Cell and atoms:
```
data_TaZnPO
_chemical_formula_sum 'Ta2 Zn2 P2 O2'
_symmetry_space_group_name_H-M 'P m c 21'
_symmetry_Int_Tables_number 26
_symmetry_space_group_name_Hall 'P 2c -2'
_cell_length_a 3.3062
_cell_length_b 6.2681
_cell_length_c 5.7306
_cell_angle_alpha 90.00
_cell_angle_beta 90.00
_cell_angle_gamma 90.00
loop_
_atom_site_label
_atom_site_fract_x
_atom_site_fract_y
_atom_site_fract_z
Ta1 0.0000 0.0056 0.0000
Zn1 0.5000 0.4177 0.3588
P1 0.5000 0.2198 0.7451
O1 0.0000 0.2488 0.2502
```

The 10 most intense peaks (10 to 90 degrees two-theta), sorted by position:
hkl, 2theta, I/Imax
0 1 0, 14.13, 83
0 2 0, 28.48, 30
1 1 0, 30.57, 100
0 1 2, 34.42, 54
1 0 2, 41.71, 37
0 2 2, 42.76, 40
1 1 2, 44.26, 44
1 2 2, 51.28, 27
0 3 2, 54.35, 23
0 1 4, 67.03, 26

***

# 9
Starting from a cell relaxed with GGA-PBE, the powder XRD pattern of TbP2O7 was simulated for Cu Kα X-rays.

Cell and atoms:
```
data_TbP2O7
_chemical_formula_sum 'Tb2 P4 O14'
_symmetry_space_group_name_H-M 'P 1 21 1'
_symmetry_Int_Tables_number 4
_symmetry_space_group_name_Hall 'P 2yb'
_cell_length_a 4.9989
_cell_length_b 8.1968
_cell_length_c 6.9385
_cell_angle_alpha 90.00
_cell_angle_beta 104.15
_cell_angle_gamma 90.00
loop_
_atom_site_label
_atom_site_fract_x
_atom_site_fract_y
_atom_site_fract_z
Tb1 0.0018 0.0000 0.2448
P1 0.3773 0.8525 0.9397
P2 0.4513 0.7392 0.5590
O1 0.2158 0.9971 0.9886
O2 0.2291 0.6937 0.9615
O3 0.2377 0.2199 0.3998
O4 0.3143 0.8079 0.3566
O5 0.3149 0.5774 0.5913
O6 0.3242 0.3445 0.9415
O7 0.3798 0.8752 0.7093
```

The 10 most intense peaks (10 to 90 degrees two-theta), sorted by position:
hkl, 2theta, I/Imax
0 1 1, 17.05, 100
1 1 -1, 22.59, 41
1 1 1, 27.42, 42
1 0 -2, 28.36, 29
1 2 0, 28.52, 45
0 2 2, 34.49, 23
0 3 1, 35.46, 14
2 1 -1, 37.88, 13
1 1 -3, 41.51, 14
1 3 1, 41.75, 23

***

# 10
Starting from a cell relaxed with GGA-PBE, the powder XRD pattern of TmTcPO was simulated for Cu Kα X-rays.

Cell and atoms:
```
data_TmTcPO
_chemical_formula_sum 'Tm2 Tc2 P2 O2'
_symmetry_space_group_name_H-M 'P 4/n m m'
_symmetry_Int_Tables_number 129
_cell_length_a 3.8887
_cell_length_b 3.8887
_cell_length_c 8.1569
_cell_angle_alpha 90.00
_cell_angle_beta 90.00
_cell_angle_gamma 90.00
loop_
_symmetry_equiv_pos_as_xyz
'x,y,z'
'-x,-y,-z'
'-y+1/2,x,z'
'y+1/2,-x,-z'
'-x+1/2,-y+1/2,z'
'x+1/2,y+1/2,-z'
'y,-x+1/2,z'
'-y,x+1/2,-z'
'x+1/2,-y,-z'
'-x+1/2,y,z'
'-y,-x,-z'
'y,x,z'
'-x,y+1/2,-z'
'x,-y+1/2,z'
'y+1/2,x+1/2,-z'
'-y+1/2,-x+1/2,z'
loop_
_atom_site_label
_atom_site_fract_x
_atom_site_fract_y
_atom_site_fract_z
Tm1 0.2500 0.2500 0.1295
Tc1 0.2500 0.7500 0.5000
P1 0.2500 0.2500 0.6700
O1 0.2500 0.7500 0.0000
```

The 10 most intense peaks (10 to 90 degrees two-theta), sorted by position:
hkl, 2theta, I/Imax
1 0 1, 25.37, 41
1 0 2, 31.80, 100
0 0 3, 32.94, 20
1 1 1, 34.42, 73
1 1 2, 39.53, 30
1 0 3, 40.48, 17
2 0 0, 46.72, 45
1 1 4, 56.15, 46
2 1 2, 57.62, 37
2 0 3, 58.34, 16

***

# 11
Starting from a cell relaxed with GGA-PBE, the powder XRD pattern of TmZrPO was simulated for Cu Kα X-rays.

Cell and atoms:
```
data_TmZrPO
_chemical_formula_sum 'Tm2 Zr2 P2 O2'
_symmetry_space_group_name_H-M 'P 4/n m m'
_symmetry_Int_Tables_number 129
_cell_length_a 4.1114
_cell_length_b 4.1114
_cell_length_c 8.4115
_cell_angle_alpha 90.00
_cell_angle_beta 90.00
_cell_angle_gamma 90.00
loop_
_symmetry_equiv_pos_as_xyz
'x,y,z'
'-x,-y,-z'
'-y+1/2,x,z'
'y+1/2,-x,-z'
'-x+1/2,-y+1/2,z'
'x+1/2,y+1/2,-z'
'y,-x+1/2,z'
'-y,x+1/2,-z'
'x+1/2,-y,-z'
'-x+1/2,y,z'
'-y,-x,-z'
'y,x,z'
'-x,y+1/2,-z'
'x,-y+1/2,z'
'y+1/2,x+1/2,-z'
'-y+1/2,-x+1/2,z'
loop_
_atom_site_label
_atom_site_fract_x
_atom_site_fract_y
_atom_site_fract_z
Tm1 0.2500 0.2500 0.1123
Zr1 0.2500 0.7500 0.5000
P1 0.2500 0.2500 0.6926
O1 0.2500 0.7500 0.0000
```

The 10 most intense peaks (10 to 90 degrees two-theta), sorted by position:
hkl, 2theta, I/Imax
0 0 2, 21.12, 24
1 0 1, 24.09, 32
1 0 2, 30.40, 100
1 1 1, 32.59, 90
1 0 3, 38.88, 37
2 0 0, 44.05, 49
1 1 4, 53.80, 40
0 0 5, 54.48, 48
2 1 3, 60.18, 21
2 0 5, 72.59, 25

***

# 12
Starting from a cell relaxed with GGA-PBE, the powder XRD pattern of ZrZnPO was simulated for Cu Kα X-rays.

Cell and atoms:
```
data_ZrZnPO
_chemical_formula_sum 'Zr2 Zn2 P2 O2'
_symmetry_space_group_name_H-M 'P 4/n m m'
_symmetry_Int_Tables_number 129
_cell_length_a 3.6628
_cell_length_b 3.6628
_cell_length_c 8.5774
_cell_angle_alpha 90.00
_cell_angle_beta 90.00
_cell_angle_gamma 90.00
loop_
_symmetry_equiv_pos_as_xyz
'x,y,z'
'-x,-y,-z'
'-y+1/2,x,z'
'y+1/2,-x,-z'
'-x+1/2,-y+1/2,z'
'x+1/2,y+1/2,-z'
'y,-x+1/2,z'
'-y,x+1/2,-z'
'x+1/2,-y,-z'
'-x+1/2,y,z'
'-y,-x,-z'
'y,x,z'
'-x,y+1/2,-z'
'x,-y+1/2,z'
'y+1/2,x+1/2,-z'
'-y+1/2,-x+1/2,z'
loop_
_atom_site_label
_atom_site_fract_x
_atom_site_fract_y
_atom_site_fract_z
Zr1 0.2500 0.2500 0.1416
Zn1 0.2500 0.7500 0.5000
P1 0.2500 0.2500 0.7047
O1 0.2500 0.7500 0.0000
```

The 10 most intense peaks (10 to 90 degrees two-theta), sorted by position:
hkl, 2theta, I/Imax
1 0 1, 26.46, 25
0 0 3, 31.28, 30
1 0 2, 32.14, 100
1 1 1, 36.23, 68
1 0 3, 40.00, 18
1 1 2, 40.70, 78
2 0 0, 49.79, 53
1 1 4, 55.65, 43
2 0 3, 59.99, 19
2 1 2, 60.50, 30